Entry 1:
Starting from a DFT-relaxed cell (GGA-PBE, Alexandria), the powder XRD pattern of NdRe4B4 was calculated for Cu Kα X-rays.
No peak broadening, texture or thermal motion is included.

Structure:
a b c (Å): 7.4932 7.4932 4.2494
angles (deg): 90.00 90.00 90.00
Sites, in units of the cell vectors:
Nd1 0.2500 0.2500 0.2500
Nd2 0.7500 0.7500 0.7500
Re1 0.1168 0.6251 0.1159
Re2 0.1251 0.8832 0.6159
Re3 0.3749 0.6168 0.6159
Re4 0.3832 0.8749 0.1159
Re5 0.6168 0.1251 0.8841
Re6 0.6251 0.3832 0.3841
Re7 0.8749 0.1168 0.3841
Re8 0.8832 0.3749 0.8841
B1 0.0603 0.9221 0.1195
B2 0.0779 0.5603 0.6195
B3 0.4221 0.9397 0.6195
B4 0.4397 0.5779 0.1195
B5 0.5603 0.4221 0.8805
B6 0.5779 0.0603 0.3805
B7 0.9221 0.4397 0.3805
B8 0.9397 0.0779 0.8805

Largest 8 diffraction maxima, sorted by position, 10° ≤ 2θ ≤ 90°:
2θ = 16.7°, I 44
2θ = 26.9°, I 46
2θ = 34.1°, I 100
2θ = 38.0°, I 78
2θ = 40.1°, I 65
2θ = 44.3°, I 46
2θ = 48.8°, I 31
2θ = 56.9°, I 28

***

Entry 2:
Starting from a DFT-relaxed cell (GGA-PBE, Alexandria), the powder XRD pattern of Ta3Be3B was calculated for Cu Kα X-rays.
No peak broadening, texture or thermal motion is included.

Structure:
a b c (Å): 7.8019 7.8019 7.8019
angles (deg): 155.43 155.21 35.18
Sites, in units of the cell vectors:
Ta1 0.0000 0.0000 0.0000
Ta2 0.1815 0.6815 0.5000
Ta3 0.3738 0.3738 0.0000
Be1 0.5517 0.5517 0.0000
Be2 0.7457 0.2457 0.5000
Be3 0.8222 0.8222 0.0000
B1 0.6194 0.1194 0.5000

Largest 8 diffraction maxima, sorted by position, 10° ≤ 2θ ≤ 90°:
2θ = 27.3°, I 55
2θ = 32.5°, I 100
2θ = 36.2°, I 28
2θ = 40.1°, I 90
2θ = 40.6°, I 60
2θ = 63.7°, I 31
2θ = 65.2°, I 28
2θ = 70.8°, I 23